No. 1
Starting from a cell relaxed with PBE, the powder diffractogram of Ho11Sn10 was calculated for λ = 1.5418 Å (Cu Kα).

Structure:
```
data_Ho11Sn10
_chemical_formula_sum 'Ho44 Sn40'
_cell_length_a 11.5925
_cell_length_b 11.5925
_cell_length_c 16.9886
_cell_angle_alpha 90.00
_cell_angle_beta 90.00
_cell_angle_gamma 90.00
_symmetry_space_group_name_H-M 'I 4/m m m'
_symmetry_Int_Tables_number 139
_symmetry_space_group_name_Hall '-I 4 2'
loop_
_atom_site_label
_atom_site_fract_x
_atom_site_fract_y
_atom_site_fract_z
_atom_site_occupancy
Ho1 0.0000 0.0000 0.1661 1
Ho2 0.0000 0.2512 0.3115 1
Ho3 0.0000 0.3313 0.1023 1
Ho4 0.1734 0.1734 0.5000 1
Sn1 0.0000 0.0000 0.3877 1
Sn2 0.0000 0.3555 0.5000 1
Sn3 0.0000 0.5000 0.2500 1
Sn4 0.1297 0.1297 0.0000 1
Sn5 0.2057 0.2057 0.1759 1
```

Most intense lines, 15 to 90 degrees two-theta, by intensity:
| hkl | two_theta | intensity |
| --- | --- | --- |
| 3 2 3 | 32.01 | 100.0 |
| 2 1 5 | 31.48 | 89.0 |
| 3 3 0 | 32.78 | 74.3 |
| 4 0 2 | 32.65 | 53.9 |
| 3 1 4 | 32.26 | 52.0 |
| 3 0 5 | 35.17 | 49.4 |

***

No. 2
Starting from a cell relaxed with PBE, the powder diffractogram of HoSn4 was calculated for λ = 1.5418 Å (Cu Kα).

Structure:
```
data_HoSn4
_chemical_formula_sum 'Ho2 Sn8'
_cell_length_a 6.3405
_cell_length_b 4.4887
_cell_length_c 10.8860
_cell_angle_alpha 90.00
_cell_angle_beta 104.98
_cell_angle_gamma 90.00
_symmetry_space_group_name_H-M 'P 1 21/c 1'
_symmetry_Int_Tables_number 14
loop_
_symmetry_equiv_pos_as_xyz
'x,y,z'
'-x,-y,-z'
'-x,y+1/2,-z+1/2'
'x,-y+1/2,z+1/2'
loop_
_atom_site_label
_atom_site_fract_x
_atom_site_fract_y
_atom_site_fract_z
_atom_site_occupancy
Ho1 0.0000 0.0000 0.0000 1
Sn1 0.1293 0.0235 0.7143 1
Sn2 0.4952 0.7457 0.5869 1
```

Most intense lines, 15 to 90 degrees two-theta, by intensity:
| hkl | two_theta | intensity |
| --- | --- | --- |
| 1 2 0 | 42.91 | 100.0 |
| 1 1 -3 | 32.73 | 89.3 |
| 1 1 1 | 27.25 | 74.1 |
| 2 1 1 | 38.34 | 65.3 |
| 2 0 0 | 29.16 | 57.0 |
| 0 1 3 | 32.41 | 55.0 |

***

No. 3
Starting from a cell relaxed with PBE, the powder diffractogram of HoSn4 was calculated for λ = 1.5418 Å (Cu Kα).

Structure:
```
data_HoSn4
_chemical_formula_sum 'Ho4 Sn16'
_cell_length_a 4.5785
_cell_length_b 6.4300
_cell_length_c 18.2385
_cell_angle_alpha 90.00
_cell_angle_beta 90.00
_cell_angle_gamma 90.00
_symmetry_space_group_name_H-M 'I m m a'
_symmetry_Int_Tables_number 74
_symmetry_space_group_name_Hall '-I 2b 2'
loop_
_atom_site_label
_atom_site_fract_x
_atom_site_fract_y
_atom_site_fract_z
_atom_site_occupancy
Ho1 0.0000 0.2500 0.0893 1
Sn1 0.0000 0.0000 0.5000 1
Sn2 0.0000 0.0045 0.6916 1
Sn3 0.0000 0.2500 0.9028 1
```

Most intense lines, 15 to 90 degrees two-theta, by intensity:
| hkl | two_theta | intensity |
| --- | --- | --- |
| 1 0 5 | 31.35 | 100.0 |
| 1 2 1 | 34.44 | 78.2 |
| 0 2 6 | 40.86 | 34.6 |
| 2 0 0 | 39.36 | 28.9 |
| 2 2 6 | 58.02 | 25.3 |
| 1 4 5 | 66.80 | 23.8 |

***

No. 4
Starting from a cell relaxed with PBE, the powder diffractogram of Ho3Sn7 was calculated for λ = 1.5418 Å (Cu Kα).

Structure:
```
data_Ho3Sn7
_chemical_formula_sum 'Ho6 Sn14'
_cell_length_a 4.4171
_cell_length_b 26.5008
_cell_length_c 4.4261
_cell_angle_alpha 90.00
_cell_angle_beta 90.00
_cell_angle_gamma 90.00
_symmetry_space_group_name_H-M 'C m m m'
_symmetry_Int_Tables_number 65
_symmetry_space_group_name_Hall '-C 2 2'
loop_
_atom_site_label
_atom_site_fract_x
_atom_site_fract_y
_atom_site_fract_z
_atom_site_occupancy
Ho1 0.0000 0.0000 0.0000 1
Ho2 0.0000 0.3102 0.5000 1
Sn1 0.0000 0.0972 0.5000 1
Sn2 0.0000 0.2112 0.0000 1
Sn3 0.0000 0.4022 0.0000 1
Sn4 0.0000 0.5000 0.5000 1
```

Most intense lines, 15 to 90 degrees two-theta, by intensity:
| hkl | two_theta | intensity |
| --- | --- | --- |
| 1 5 1 | 33.27 | 100.0 |
| 2 0 0 | 40.82 | 30.7 |
| 2 10 0 | 54.02 | 23.4 |
| 0 10 0 | 33.82 | 22.8 |
| 1 15 1 | 60.16 | 12.5 |
| 1 5 3 | 69.47 | 12.4 |